Entry 1:
The following is a calculated XRD peak list of Y2ZnGePt6. It was derived from a GGA-PBE-relaxed structure, using Cu Kα.

Top 6 peaks for 2θ from 10° to 90°, by angle:
(0 1 2), 20.0 deg, I = 47; (0 0 6), 23.1 deg, I = 70; (2 0 2), 38.1 deg, I = 85; (1 1 6), 40.0 deg, I = 37; (0 2 4), 40.5 deg, I = 100; (2 0 8), 49.2 deg, I = 42

Cell and atoms:
abc: 5.5686 5.5686 23.0936
angles: 90.00 90.00 120.00
Space group R-3m (No. 166, hexagonal axes)
One atom of each set of equivalent atoms:
Y 0.0000 0.0000 0.2021 [6 per cell]
Zn 0.0000 0.0000 0.5000 [3 per cell]
Ge 0.0000 0.0000 0.0000 [3 per cell]
Pt 0.0035 0.5017 0.2515 [18 per cell]

---

Entry 2:
The following is a calculated XRD peak list of Y2ZrGe3Pt4. It was derived from a GGA-PBE-relaxed structure, using Cu Kα.

Top 6 peaks for 2θ from 10° to 90°, by angle:
(1 0 1), 22.8 deg, I = 22; (1 0 3), 32.1 deg, I = 22; (1 1 2), 34.4 deg, I = 100; (2 0 0), 43.5 deg, I = 57; (1 1 4), 44.5 deg, I = 50; (1 0 5), 45.8 deg, I = 25

Cell and atoms:
abc: 4.162 4.162 11.275
angles: 90.00 90.00 90.00
Space group P-4m2 (No. 115)
One atom of each set of equivalent atoms:
Y 0.000 0.500 0.224 [2 per cell]
Zr 0.000 0.000 0.500 [1 per cell]
Ge 0.000 0.500 0.866 [2 per cell]
Ge 0.500 0.500 0.500 [1 per cell]
Pt 0.000 0.000 0.000 [1 per cell]
Pt 0.000 0.500 0.650 [2 per cell]
Pt 0.500 0.500 0.000 [1 per cell]

---

Entry 3:
The following is a calculated XRD peak list of ZnGePt6. It was derived from a GGA-PBE-relaxed structure, using Cu Kα.

Top 6 peaks for 2θ from 10° to 90°, by angle:
(0 2 4), 38.7 deg, I = 100; (2 2 0), 40.5 deg, I = 90; (2 0 4), 44.2 deg, I = 69; (0 4 0), 49.7 deg, I = 25; (2 4 4), 68.7 deg, I = 38; (2 2 8), 76.5 deg, I = 26

Cell and atoms:
abc: 5.603 7.336 12.020
angles: 90.00 90.00 90.00
Space group Fmmm (No. 69)
One atom of each set of equivalent atoms:
Zn 0.000 0.000 0.000 [4 per cell]
Ge 0.000 0.000 0.500 [4 per cell]
Pt 0.000 0.000 0.248 [8 per cell]
Pt 0.250 0.250 0.117 [16 per cell]

---

Entry 4:
The following is a calculated XRD peak list of Rb2PuGeTe4. It was derived from a GGA-PBE-relaxed structure, using Cu Kα.

Top 6 peaks for 2θ from 10° to 90°, by angle:
(0 1 1), 11.4 deg, I = 50; (2 2 0), 26.6 deg, I = 100; (0 0 4), 26.7 deg, I = 48; (2 3 1), 34.7 deg, I = 18; (0 4 0), 37.8 deg, I = 18; (4 0 0), 38.1 deg, I = 85

Cell and atoms:
abc: 9.452 9.519 13.338
angles: 90.00 90.00 90.00
Space group Imma (No. 74)
One atom of each set of equivalent atoms:
Rb 0.000 0.000 0.000 [4 per cell]
Rb 0.250 0.250 0.250 [4 per cell]
Pu 0.250 0.250 0.750 [4 per cell]
Ge 0.000 0.000 0.500 [4 per cell]
Te 0.000 0.038 0.730 [8 per cell]
Te 0.210 0.250 0.522 [8 per cell]

---

Entry 5:
The following is a calculated XRD peak list of Pu6Ge3Rh. It was derived from a GGA-PBE-relaxed structure, using Cu Kα.

Top 6 peaks for 2θ from 10° to 90°, by angle:
(2 2 2), 32.4 deg, I = 100; (3 1 2), 34.4 deg, I = 70; (1 3 2), 34.7 deg, I = 70; (4 2 0), 37.3 deg, I = 44; (2 4 0), 37.7 deg, I = 32; (0 0 4), 44.9 deg, I = 31

Cell and atoms:
abc: 10.814 10.619 8.079
angles: 90.00 90.00 90.00
Space group Cmcm (No. 63)
One atom of each set of equivalent atoms:
Pu 0.000 0.179 0.012 [8 per cell]
Pu 0.168 0.500 0.000 [8 per cell]
Pu 0.249 0.243 0.250 [8 per cell]
Ge 0.000 0.374 0.750 [4 per cell]
Ge 0.124 0.009 0.750 [8 per cell]
Rh 0.000 0.377 0.250 [4 per cell]

---

Entry 6:
The following is a calculated XRD peak list of Pu4Ge12Rh. It was derived from a GGA-PBE-relaxed structure, using Cu Kα.

Top 6 peaks for 2θ from 10° to 90°, by angle:
(2 0 0), 20.5 deg, I = 26; (2 2 0), 29.1 deg, I = 56; (2 2 2), 35.9 deg, I = 100; (4 0 0), 41.7 deg, I = 62; (4 4 0), 60.4 deg, I = 38; (6 2 2), 72.3 deg, I = 33

Cell and atoms:
abc: 8.666 8.666 8.666
angles: 90.00 90.00 90.00
Space group Im-3m (No. 229)
One atom of each set of equivalent atoms:
Pu 0.250 0.250 0.250 [8 per cell]
Ge 0.000 0.000 0.293 [12 per cell]
Ge 0.000 0.250 0.500 [12 per cell]
Rh 0.000 0.000 0.000 [2 per cell]

---

Entry 7:
The following is a calculated XRD peak list of Pu5GeRh2. It was derived from a GGA-PBE-relaxed structure, using Cu Kα.

Top 6 peaks for 2θ from 10° to 90°, by angle:
(2 1 1), 27.2 deg, I = 17; (2 1 3), 33.9 deg, I = 100; (2 0 4), 37.0 deg, I = 24; (3 1 0), 37.4 deg, I = 46; (4 1 3), 54.3 deg, I = 18; (5 2 3), 70.4 deg, I = 14

Cell and atoms:
abc: 7.598 7.598 12.658
angles: 90.00 90.00 90.00
Space group I4/mcm (No. 140)
One atom of each set of equivalent atoms:
Pu 0.000 0.000 0.000 [4 per cell]
Pu 0.164 0.336 0.150 [16 per cell]
Ge 0.000 0.000 0.250 [4 per cell]
Rh 0.134 0.366 0.500 [8 per cell]

---

Entry 8:
The following is a calculated XRD peak list of Pu2ScGe2Rh5. It was derived from a GGA-PBE-relaxed structure, using Cu Kα.

Top 6 peaks for 2θ from 10° to 90°, by angle:
(2 1 1), 31.8 deg, I = 63; (4 1 0), 37.6 deg, I = 75; (3 1 1), 37.9 deg, I = 100; (3 3 0), 38.7 deg, I = 35; (3 2 1), 41.2 deg, I = 36; (4 1 2), 64.0 deg, I = 32

Cell and atoms:
abc: 9.860 9.860 3.662
angles: 90.00 90.00 90.00
Space group P4/mbm (No. 127)
One atom of each set of equivalent atoms:
Pu 0.174 0.326 0.000 [4 per cell]
Sc 0.000 0.000 0.000 [2 per cell]
Ge 0.124 0.624 0.000 [4 per cell]
Rh 0.000 0.500 0.500 [2 per cell]
Rh 0.069 0.789 0.500 [8 per cell]

---

Entry 9:
The following is a calculated XRD peak list of PuGe3Ru3. It was derived from a GGA-PBE-relaxed structure, using Cu Kα.

Top 6 peaks for 2θ from 10° to 90°, by angle:
(2 0 0), 26.6 deg, I = 43; (2 1 1), 32.8 deg, I = 100; (3 2 1), 51.0 deg, I = 58; (4 0 0), 54.8 deg, I = 20; (4 2 0), 62.0 deg, I = 16; (5 2 1), 78.2 deg, I = 17

Cell and atoms:
abc: 6.696 6.696 6.696
angles: 90.00 90.00 90.00
Space group Pm-3n (No. 223)
One atom of each set of equivalent atoms:
Pu 0.000 0.000 0.000 [2 per cell]
Ge 0.000 0.250 0.500 [6 per cell]
Ru 0.000 0.500 0.250 [6 per cell]

---

Entry 10:
The following is a calculated XRD peak list of Pu4GeRu2. It was derived from a GGA-PBE-relaxed structure, using Cu Kα.

Top 6 peaks for 2θ from 10° to 90°, by angle:
(3 1 0), 32.9 deg, I = 83; (3 0 1), 33.0 deg, I = 100; (1 0 3), 33.9 deg, I = 85; (3 2 1), 39.2 deg, I = 71; (3 1 2), 39.5 deg, I = 62; (2 1 3), 40.0 deg, I = 45

Cell and atoms:
abc: 8.610 8.610 8.339
angles: 90.00 90.00 90.00
Space group I-42d (No. 122)
One atom of each set of equivalent atoms:
Pu 0.068 0.176 0.313 [16 per cell]
Ge 0.000 0.000 0.000 [4 per cell]
Ru 0.140 0.250 0.625 [8 per cell]

---

Entry 11:
The following is a calculated XRD peak list of Pu4Ge3Ru. It was derived from a GGA-PBE-relaxed structure, using Cu Kα.

Top 6 peaks for 2θ from 10° to 90°, by angle:
(1 0 0), 21.2 deg, I = 21; (0 1 2), 28.6 deg, I = 20; (1 1 2), 35.9 deg, I = 100; (0 2 0), 40.7 deg, I = 18; (0 0 4), 41.2 deg, I = 16; (2 0 0), 43.1 deg, I = 15

Cell and atoms:
abc: 4.200 4.435 8.758
angles: 90.00 90.00 90.00
Space group Pmmm (No. 47)
One atom of each set of equivalent atoms:
Pu 0.000 0.000 0.000 [1 per cell]
Pu 0.000 0.000 0.500 [1 per cell]
Pu 0.000 0.500 0.232 [2 per cell]
Ge 0.500 0.000 0.236 [2 per cell]
Ge 0.500 0.500 0.500 [1 per cell]
Ru 0.500 0.500 0.000 [1 per cell]

---

Entry 12:
The following is a calculated XRD peak list of Pu4GeS3. It was derived from a GGA-PBE-relaxed structure, using Cu Kα.

Top 6 peaks for 2θ from 10° to 90°, by angle:
(0 0 2), 27.1 deg, I = 67; (2 0 0), 27.2 deg, I = 22; (1 2 1), 31.5 deg, I = 100; (1 2 -3), 45.0 deg, I = 37; (2 0 2), 45.1 deg, I = 37; (1 2 3), 53.4 deg, I = 26

Cell and atoms:
abc: 6.949 8.049 6.981
angles: 90.00 109.50 90.00
Space group P2/c (No. 13)
One atom of each set of equivalent atoms:
Pu 0.240 0.129 0.001 [4 per cell]
Pu 0.248 0.380 0.495 [4 per cell]
Ge 0.500 0.127 0.750 [2 per cell]
S 0.000 0.127 0.250 [2 per cell]
S 0.000 0.376 0.750 [2 per cell]
S 0.500 0.375 0.250 [2 per cell]